1.
Th3Cu11: theoretical X-ray diffraction stick pattern (Cu Kα X-rays), based on DFT lattice parameters and positions (PBE).
No peak broadening, texture or thermal motion is included.

Peak list (12 most intense, 10° ≤ 2θ ≤ 90°, sorted by position)
Position (°2θ)	Rel. int.
23.31	30
23.64	25
30.16	41
35.18	16
36.45	100
37.07	47
37.28	49
39.89	15
42.08	18
42.79	39
58.03	20
71.20	15

Structural model:
```
data_Th3Cu11
_chemical_formula_sum 'Th3 Cu11'
_cell_length_a 7.939
_cell_length_b 7.939
_cell_length_c 7.939
_cell_angle_alpha 149.12
_cell_angle_beta 111.97
_cell_angle_gamma 76.56
_space_group_name_H-M_alt 'P 1'
_space_group_IT_number 1
loop_
_space_group_symop_operation_xyz
'x,y,z'
loop_
_atom_site_label
_atom_site_fract_x
_atom_site_fract_y
_atom_site_fract_z
Th1 0.000 0.000 0.000
Th2 0.308 0.308 0.000
Th3 0.692 0.692 0.000
Cu1 0.029 0.673 0.356
Cu2 0.159 0.879 0.279
Cu3 0.288 0.500 0.788
Cu4 0.317 0.673 0.644
Cu5 0.400 0.121 0.279
Cu6 0.500 0.000 0.500
Cu7 0.600 0.879 0.721
Cu8 0.683 0.327 0.356
Cu9 0.712 0.500 0.212
Cu10 0.841 0.121 0.721
Cu11 0.971 0.327 0.644
```

---

2.
Th5Cu6: theoretical X-ray diffraction stick pattern (Cu Kα X-rays), based on DFT lattice parameters and positions (PBE).
No peak broadening, texture or thermal motion is included.

Peak list (12 most intense, 10° ≤ 2θ ≤ 90°, sorted by position)
Position (°2θ)	Rel. int.
25.39	53
28.87	19
33.31	100
33.60	72
38.18	15
38.36	35
42.45	27
49.47	18
50.44	16
55.19	34
64.28	15
67.21	21

Structural model:
```
data_Th5Cu6
_chemical_formula_sum 'Th5 Cu6'
_cell_length_a 15.609
_cell_length_b 15.609
_cell_length_c 3.685
_cell_angle_alpha 90.00
_cell_angle_beta 90.00
_cell_angle_gamma 164.32
_space_group_name_H-M_alt 'P 1'
_space_group_IT_number 1
loop_
_space_group_symop_operation_xyz
'x,y,z'
loop_
_atom_site_label
_atom_site_fract_x
_atom_site_fract_y
_atom_site_fract_z
Th1 0.000 0.000 0.000
Th2 0.193 0.807 0.500
Th3 0.382 0.618 0.000
Th4 0.618 0.382 0.000
Th5 0.807 0.193 0.500
Cu1 0.084 0.916 0.500
Cu2 0.274 0.726 0.000
Cu3 0.460 0.540 0.500
Cu4 0.540 0.460 0.500
Cu5 0.726 0.274 0.000
Cu6 0.916 0.084 0.500
```

---

3.
YTh2Cu6: theoretical X-ray diffraction stick pattern (Cu Kα X-rays), based on DFT lattice parameters and positions (PBE).
No peak broadening, texture or thermal motion is included.

Peak list (12 most intense, 10° ≤ 2θ ≤ 90°, sorted by position)
Position (°2θ)	Rel. int.
13.67	13
23.80	25
28.49	5
34.69	100
41.84	49
51.04	9
55.45	26
57.06	5
68.05	22
71.81	24
76.42	8
85.42	8

Structural model:
```
data_YTh2Cu6
_chemical_formula_sum 'Y1 Th2 Cu6'
_cell_length_a 7.478
_cell_length_b 7.478
_cell_length_c 3.579
_cell_angle_alpha 90.00
_cell_angle_beta 90.00
_cell_angle_gamma 120.00
_space_group_name_H-M_alt 'P 1'
_space_group_IT_number 1
loop_
_space_group_symop_operation_xyz
'x,y,z'
loop_
_atom_site_label
_atom_site_fract_x
_atom_site_fract_y
_atom_site_fract_z
Y1 0.000 0.000 0.000
Th1 0.333 0.667 0.000
Th2 0.667 0.333 0.000
Cu1 0.000 0.332 0.500
Cu2 0.000 0.668 0.500
Cu3 0.332 0.000 0.500
Cu4 0.332 0.332 0.500
Cu5 0.668 0.000 0.500
Cu6 0.668 0.668 0.500
```

---

4.
Th2Zn12Cu5: theoretical X-ray diffraction stick pattern (Cu Kα X-rays), based on DFT lattice parameters and positions (PBE).
No peak broadening, texture or thermal motion is included.

Peak list (12 most intense, 10° ≤ 2θ ≤ 90°, sorted by position)
Position (°2θ)	Rel. int.
28.65	49
34.78	44
36.02	32
40.38	66
40.67	100
41.51	52
41.75	18
58.68	31
59.30	32
66.36	17
73.42	16
75.19	20

Structural model:
```
data_Th2Zn12Cu5
_chemical_formula_sum 'Th2 Zn12 Cu5'
_cell_length_a 6.747
_cell_length_b 6.747
_cell_length_c 6.747
_cell_angle_alpha 82.93
_cell_angle_beta 82.93
_cell_angle_gamma 82.93
_space_group_name_H-M_alt 'P 1'
_space_group_IT_number 1
loop_
_space_group_symop_operation_xyz
'x,y,z'
loop_
_atom_site_label
_atom_site_fract_x
_atom_site_fract_y
_atom_site_fract_z
Th1 0.161 0.161 0.161
Th2 0.839 0.839 0.839
Zn1 0.154 0.154 0.649
Zn2 0.154 0.649 0.154
Zn3 0.214 0.500 0.786
Zn4 0.214 0.786 0.500
Zn5 0.351 0.846 0.846
Zn6 0.500 0.214 0.786
Zn7 0.500 0.786 0.214
Zn8 0.649 0.154 0.154
Zn9 0.786 0.214 0.500
Zn10 0.786 0.500 0.214
Zn11 0.846 0.351 0.846
Zn12 0.846 0.846 0.351
Cu1 0.000 0.500 0.500
Cu2 0.397 0.397 0.397
Cu3 0.500 0.000 0.500
Cu4 0.500 0.500 0.000
Cu5 0.603 0.603 0.603
```

---

5.
ThZn3Cu: theoretical X-ray diffraction stick pattern (Cu Kα X-rays), based on DFT lattice parameters and positions (PBE).
No peak broadening, texture or thermal motion is included.

Peak list (12 most intense, 10° ≤ 2θ ≤ 90°, sorted by position)
Position (°2θ)	Rel. int.
22.63	43
28.97	24
30.27	23
33.87	100
34.05	73
35.20	72
42.41	76
49.85	32
54.55	26
56.13	24
63.00	14
73.59	15

Structural model:
```
data_ThZn3Cu
_chemical_formula_sum 'Th2 Zn6 Cu2'
_cell_length_a 5.927
_cell_length_b 5.927
_cell_length_c 5.902
_cell_angle_alpha 90.00
_cell_angle_beta 90.00
_cell_angle_gamma 117.34
_space_group_name_H-M_alt 'P 1'
_space_group_IT_number 1
loop_
_space_group_symop_operation_xyz
'x,y,z'
loop_
_atom_site_label
_atom_site_fract_x
_atom_site_fract_y
_atom_site_fract_z
Th1 0.233 0.767 0.750
Th2 0.767 0.233 0.250
Zn1 0.111 0.889 0.250
Zn2 0.287 0.287 0.000
Zn3 0.287 0.287 0.500
Zn4 0.713 0.713 0.000
Zn5 0.713 0.713 0.500
Zn6 0.889 0.111 0.750
Cu1 0.348 0.652 0.250
Cu2 0.652 0.348 0.750
```

---

6.
Th2Zn5Cu12: theoretical X-ray diffraction stick pattern (Cu Kα X-rays), based on DFT lattice parameters and positions (PBE).
No peak broadening, texture or thermal motion is included.

Peak list (12 most intense, 10° ≤ 2θ ≤ 90°, sorted by position)
Position (°2θ)	Rel. int.
29.25	42
30.34	21
35.53	48
36.78	37
41.25	62
41.55	100
42.39	53
46.66	13
60.02	29
60.63	27
67.92	23
75.20	19

Structural model:
```
data_Th2Zn5Cu12
_chemical_formula_sum 'Th2 Zn5 Cu12'
_cell_length_a 6.611
_cell_length_b 6.611
_cell_length_c 6.611
_cell_angle_alpha 82.91
_cell_angle_beta 82.91
_cell_angle_gamma 82.91
_space_group_name_H-M_alt 'P 1'
_space_group_IT_number 1
loop_
_space_group_symop_operation_xyz
'x,y,z'
loop_
_atom_site_label
_atom_site_fract_x
_atom_site_fract_y
_atom_site_fract_z
Th1 0.148 0.148 0.148
Th2 0.852 0.852 0.852
Zn1 0.000 0.500 0.500
Zn2 0.401 0.401 0.401
Zn3 0.500 0.000 0.500
Zn4 0.500 0.500 0.000
Zn5 0.599 0.599 0.599
Cu1 0.153 0.153 0.654
Cu2 0.153 0.654 0.153
Cu3 0.201 0.500 0.799
Cu4 0.201 0.799 0.500
Cu5 0.346 0.847 0.847
Cu6 0.500 0.201 0.799
Cu7 0.500 0.799 0.201
Cu8 0.654 0.153 0.153
Cu9 0.799 0.201 0.500
Cu10 0.799 0.500 0.201
Cu11 0.847 0.346 0.847
Cu12 0.847 0.847 0.346
```

---

7.
ThZn4Cu8: theoretical X-ray diffraction stick pattern (Cu Kα X-rays), based on DFT lattice parameters and positions (PBE).
No peak broadening, texture or thermal motion is included.

Peak list (12 most intense, 10° ≤ 2θ ≤ 90°, sorted by position)
Position (°2θ)	Rel. int.
29.19	43
32.43	18
35.84	50
36.47	16
41.37	57
41.56	100
42.12	70
47.21	19
60.52	14
69.12	21
75.58	20
75.96	19

Structural model:
```
data_ThZn4Cu8
_chemical_formula_sum 'Th1 Zn4 Cu8'
_cell_length_a 6.646
_cell_length_b 6.646
_cell_length_c 6.646
_cell_angle_alpha 97.90
_cell_angle_beta 97.90
_cell_angle_gamma 136.49
_space_group_name_H-M_alt 'P 1'
_space_group_IT_number 1
loop_
_space_group_symop_operation_xyz
'x,y,z'
loop_
_atom_site_label
_atom_site_fract_x
_atom_site_fract_y
_atom_site_fract_z
Th1 0.000 0.000 0.000
Zn1 0.000 0.000 0.500
Zn2 0.000 0.500 0.000
Zn3 0.500 0.000 0.000
Zn4 0.500 0.500 0.500
Cu1 0.000 0.356 0.356
Cu2 0.000 0.644 0.644
Cu3 0.277 0.500 0.777
Cu4 0.356 0.000 0.356
Cu5 0.500 0.277 0.777
Cu6 0.500 0.723 0.223
Cu7 0.644 0.000 0.644
Cu8 0.723 0.500 0.223
```

---

8.
Th2Zn5Cu5: theoretical X-ray diffraction stick pattern (Cu Kα X-rays), based on DFT lattice parameters and positions (PBE).
No peak broadening, texture or thermal motion is included.

Peak list (12 most intense, 10° ≤ 2θ ≤ 90°, sorted by position)
Position (°2θ)	Rel. int.
28.89	66
34.38	36
39.87	26
39.97	12
40.61	100
42.69	25
55.92	18
58.29	13
59.85	23
65.75	16
76.75	15
87.98	12

Structural model:
```
data_Th2Zn5Cu5
_chemical_formula_sum 'Th2 Zn5 Cu5'
_cell_length_a 4.236
_cell_length_b 5.226
_cell_length_c 9.022
_cell_angle_alpha 90.00
_cell_angle_beta 90.00
_cell_angle_gamma 90.00
_space_group_name_H-M_alt 'P 1'
_space_group_IT_number 1
loop_
_space_group_symop_operation_xyz
'x,y,z'
loop_
_atom_site_label
_atom_site_fract_x
_atom_site_fract_y
_atom_site_fract_z
Th1 0.000 0.000 0.000
Th2 0.000 0.500 0.500
Zn1 0.500 0.000 0.500
Zn2 0.500 0.251 0.246
Zn3 0.500 0.251 0.754
Zn4 0.500 0.749 0.246
Zn5 0.500 0.749 0.754
Cu1 0.000 0.000 0.334
Cu2 0.000 0.000 0.666
Cu3 0.000 0.500 0.163
Cu4 0.000 0.500 0.837
Cu5 0.500 0.500 0.000
```

---

9.
Th3Zn2Cu9: theoretical X-ray diffraction stick pattern (Cu Kα X-rays), based on DFT lattice parameters and positions (PBE).
No peak broadening, texture or thermal motion is included.

Peak list (12 most intense, 10° ≤ 2θ ≤ 90°, sorted by position)
Position (°2θ)	Rel. int.
23.16	54
29.58	34
34.75	33
36.14	100
36.56	42
37.32	82
39.97	23
42.24	45
55.81	17
57.64	20
70.70	19
73.26	19

Structural model:
```
data_Th3Zn2Cu9
_chemical_formula_sum 'Th3 Zn2 Cu9'
_cell_length_a 8.037
_cell_length_b 8.037
_cell_length_c 8.037
_cell_angle_alpha 149.12
_cell_angle_beta 114.01
_cell_angle_gamma 74.63
_space_group_name_H-M_alt 'P 1'
_space_group_IT_number 1
loop_
_space_group_symop_operation_xyz
'x,y,z'
loop_
_atom_site_label
_atom_site_fract_x
_atom_site_fract_y
_atom_site_fract_z
Th1 0.000 0.000 0.000
Th2 0.295 0.295 0.000
Th3 0.705 0.705 0.000
Zn1 0.306 0.500 0.806
Zn2 0.694 0.500 0.194
Cu1 0.020 0.663 0.356
Cu2 0.154 0.871 0.283
Cu3 0.307 0.663 0.644
Cu4 0.412 0.129 0.283
Cu5 0.500 0.000 0.500
Cu6 0.588 0.871 0.717
Cu7 0.693 0.337 0.356
Cu8 0.846 0.129 0.717
Cu9 0.980 0.337 0.644
```

---

10.
ThZnCu3: theoretical X-ray diffraction stick pattern (Cu Kα X-rays), based on DFT lattice parameters and positions (PBE).
No peak broadening, texture or thermal motion is included.

Peak list (12 most intense, 10° ≤ 2θ ≤ 90°, sorted by position)
Position (°2θ)	Rel. int.
20.79	11
24.03	16
29.57	18
38.44	100
47.59	13
49.20	9
58.49	7
61.35	7
62.73	12
69.49	14
78.60	7
89.82	6

Structural model:
```
data_ThZnCu3
_chemical_formula_sum 'Th4 Zn4 Cu12'
_cell_length_a 8.551
_cell_length_b 4.688
_cell_length_c 8.540
_cell_angle_alpha 90.00
_cell_angle_beta 90.00
_cell_angle_gamma 90.00
_space_group_name_H-M_alt 'P 1'
_space_group_IT_number 1
loop_
_space_group_symop_operation_xyz
'x,y,z'
loop_
_atom_site_label
_atom_site_fract_x
_atom_site_fract_y
_atom_site_fract_z
Th1 0.238 0.250 0.003
Th2 0.262 0.750 0.503
Th3 0.738 0.250 0.497
Th4 0.762 0.750 0.997
Zn1 0.087 0.250 0.349
Zn2 0.413 0.750 0.849
Zn3 0.587 0.250 0.151
Zn4 0.913 0.750 0.651
Cu1 0.097 0.750 0.155
Cu2 0.101 0.250 0.652
Cu3 0.108 0.750 0.848
Cu4 0.392 0.250 0.348
Cu5 0.399 0.750 0.152
Cu6 0.403 0.250 0.655
Cu7 0.597 0.750 0.345
Cu8 0.601 0.250 0.848
Cu9 0.608 0.750 0.652
Cu10 0.892 0.250 0.152
Cu11 0.899 0.750 0.348
Cu12 0.903 0.250 0.845
```

---

11.
ThZn5Cu2: theoretical X-ray diffraction stick pattern (Cu Kα X-rays), based on DFT lattice parameters and positions (PBE).
No peak broadening, texture or thermal motion is included.

Peak list (12 most intense, 10° ≤ 2θ ≤ 90°, sorted by position)
Position (°2θ)	Rel. int.
15.40	16
24.54	30
30.92	23
31.08	18
32.05	50
34.96	100
36.51	91
38.45	24
45.80	50
46.12	36
48.19	32
67.03	31

Structural model:
```
data_ThZn5Cu2
_chemical_formula_sum 'Th1 Zn5 Cu2'
_cell_length_a 6.277
_cell_length_b 6.277
_cell_length_c 6.277
_cell_angle_alpha 143.45
_cell_angle_beta 109.44
_cell_angle_gamma 82.17
_space_group_name_H-M_alt 'P 1'
_space_group_IT_number 1
loop_
_space_group_symop_operation_xyz
'x,y,z'
loop_
_atom_site_label
_atom_site_fract_x
_atom_site_fract_y
_atom_site_fract_z
Th1 0.000 0.000 0.000
Zn1 0.167 0.352 0.814
Zn2 0.462 0.648 0.814
Zn3 0.500 0.000 0.500
Zn4 0.538 0.352 0.186
Zn5 0.833 0.648 0.186
Cu1 0.243 0.743 0.500
Cu2 0.757 0.257 0.500
```

---

12.
ThZn12Cu4: theoretical X-ray diffraction stick pattern (Cu Kα X-rays), based on DFT lattice parameters and positions (PBE).
No peak broadening, texture or thermal motion is included.

Peak list (12 most intense, 10° ≤ 2θ ≤ 90°, sorted by position)
Position (°2θ)	Rel. int.
14.69	13
25.59	13
29.63	22
33.23	100
39.55	60
47.70	9
52.58	37
54.91	41
65.71	8
69.76	10
75.65	15
87.04	9

Structural model:
```
data_ThZn12Cu4
_chemical_formula_sum 'Th1 Zn12 Cu4'
_cell_length_a 7.384
_cell_length_b 7.384
_cell_length_c 7.384
_cell_angle_alpha 109.47
_cell_angle_beta 109.47
_cell_angle_gamma 109.47
_space_group_name_H-M_alt 'P 1'
_space_group_IT_number 1
loop_
_space_group_symop_operation_xyz
'x,y,z'
loop_
_atom_site_label
_atom_site_fract_x
_atom_site_fract_y
_atom_site_fract_z
Th1 0.000 0.000 0.000
Zn1 0.158 0.509 0.351
Zn2 0.158 0.806 0.649
Zn3 0.194 0.351 0.842
Zn4 0.351 0.158 0.509
Zn5 0.351 0.842 0.194
Zn6 0.491 0.649 0.842
Zn7 0.509 0.351 0.158
Zn8 0.649 0.158 0.806
Zn9 0.649 0.842 0.491
Zn10 0.806 0.649 0.158
Zn11 0.842 0.194 0.351
Zn12 0.842 0.491 0.649
Cu1 0.000 0.000 0.500
Cu2 0.000 0.500 0.000
Cu3 0.500 0.000 0.000
Cu4 0.500 0.500 0.500
```